1.
For Fe5O7F3, the GGA+U geometry in the Materials Project gives the computed powder diffraction line list in this record (Cu Ka).
Neutral-atom scattering factors, no anomalous dispersion.

Principal peaks in the range 10° ≤ 2θ ≤ 80°, sorted by position:
- 26.99 deg, rel. 100.0
- 35.13 deg, rel. 53.5
- 38.54 deg, rel. 9.2
- 40.24 deg, rel. 16.0
- 53.11 deg, rel. 43.7
- 53.19 deg, rel. 15.0
- 55.59 deg, rel. 8.2
- 55.71 deg, rel. 8.1
- 60.71 deg, rel. 8.7
- 62.90 deg, rel. 6.4
- 67.54 deg, rel. 19.8
- 67.65 deg, rel. 11.4

Structural model:
```
30
Lattice="4.6703 0.0000 0.0000 -0.0088 4.6728 0.0000 -0.0097 -0.0132 15.2545" Properties=species:S:1:pos:R:3 pbc="T T T"
Fe 0.0000 0.0000 0.0000
Fe 0.0029 4.6137 2.9609
Fe 0.0536 4.5908 5.9229
Fe 2.1128 2.2559 7.6339
Fe 2.1514 2.2760 10.5977
Fe 2.1855 2.1535 1.4258
Fe 2.1984 2.1060 4.4877
Fe 2.3307 2.0093 13.5511
Fe 4.5698 4.4947 12.1318
Fe 4.6285 4.4434 9.0670
O 0.7461 3.6452 10.6481
O 0.7865 3.6882 7.5095
O 0.8423 3.6421 1.4688
O 0.8681 3.6364 4.4193
O 1.2858 1.3032 9.1384
O 1.3229 1.2485 12.0719
O 1.3808 1.3524 6.0557
O 1.3859 1.3208 2.9459
O 1.4325 1.2955 15.1241
O 3.1080 3.1258 9.1094
O 3.1477 3.0733 12.0957
O 3.6980 0.8002 1.4988
O 3.7162 0.7832 4.4522
O 3.7682 0.6866 13.6371
F 0.8939 3.5628 13.6904
F 3.1901 3.1306 2.9646
F 3.1892 3.1576 6.0332
F 3.2228 3.1040 15.1352
F 3.6252 0.7803 10.5756
F 3.6484 0.8211 7.5300
```

2.
For TiVO3, the GGA+U geometry in the Materials Project gives the computed powder diffraction line list in this record (Cu Ka).
Neutral-atom scattering factors, no anomalous dispersion.

Principal peaks in the range 10° ≤ 2θ ≤ 80°, sorted by position:
- 23.58 deg, rel. 42.4
- 32.29 deg, rel. 100.0
- 34.85 deg, rel. 72.7
- 39.89 deg, rel. 29.0
- 48.24 deg, rel. 38.6
- 52.62 deg, rel. 69.8
- 55.90 deg, rel. 5.3
- 56.10 deg, rel. 4.3
- 60.88 deg, rel. 31.2
- 62.49 deg, rel. 37.6
- 69.69 deg, rel. 14.6
- 73.59 deg, rel. 8.3

Structural model:
```
10
Lattice="2.5743 1.4862 4.7191 -2.5743 1.4862 4.7191 0.0000 -2.9725 4.7191" Properties=species:S:1:pos:R:3 pbc="T T T"
Ti 0.0000 0.0000 0.0000
Ti 0.0000 0.0000 7.0787
V 0.0000 0.0000 2.8745
V 0.0000 0.0000 9.9532
O -1.6670 0.1677 6.1909
O -0.9073 -1.3186 8.5505
O 0.6883 -1.5275 6.1909
O -0.6883 1.4450 8.5505
O 0.9787 1.3598 6.1909
O 1.5956 -0.1264 8.5505
```

3.
For Eu2NbFeO6, the GGA+U geometry in the Materials Project gives the computed powder diffraction line list in this record (Cu Ka).
Neutral-atom scattering factors, no anomalous dispersion.

Principal peaks in the range 10° ≤ 2θ ≤ 80°, sorted by position:
- 19.14 deg, rel. 1.7
- 22.14 deg, rel. 7.9
- 31.51 deg, rel. 100.0
- 37.13 deg, rel. 0.9
- 38.84 deg, rel. 12.8
- 45.16 deg, rel. 30.7
- 50.84 deg, rel. 4.5
- 56.10 deg, rel. 39.1
- 65.77 deg, rel. 18.5
- 70.33 deg, rel. 2.5
- 74.76 deg, rel. 16.9
- 79.09 deg, rel. 4.1

Structural model:
```
10
Lattice="0.0000 4.0158 4.0158 4.0158 0.0000 4.0158 4.0158 4.0158 0.0000" Properties=species:S:1:pos:R:3 pbc="T T T"
Eu 2.0079 2.0079 2.0079
Eu 6.0237 6.0237 6.0237
Nb 0.0000 0.0000 0.0000
Fe 4.0158 4.0158 4.0158
O 4.0158 4.0158 2.0064
O 4.0158 2.0064 4.0158
O 6.0252 4.0158 4.0158
O 2.0064 4.0158 4.0158
O 4.0158 6.0252 4.0158
O 4.0158 4.0158 6.0252
```

4.
For MgMn6O11F, the GGA+U geometry in the Materials Project gives the computed powder diffraction line list in this record (Cu Ka).
Neutral-atom scattering factors, no anomalous dispersion.

Principal peaks in the range 10° ≤ 2θ ≤ 80°, sorted by position:
- 25.33 deg, rel. 100.0
- 27.32 deg, rel. 86.9
- 35.45 deg, rel. 54.5
- 35.83 deg, rel. 21.9
- 36.04 deg, rel. 22.0
- 36.65 deg, rel. 20.2
- 52.04 deg, rel. 34.7
- 52.39 deg, rel. 17.7
- 54.57 deg, rel. 16.2
- 56.35 deg, rel. 16.9
- 62.86 deg, rel. 16.8
- 65.22 deg, rel. 28.5

Structural model:
```
19
Lattice="4.9171 0.0000 0.0000 0.3496 5.5473 0.0000 0.3422 0.7731 7.4768" Properties=species:S:1:pos:R:3 pbc="T T T"
Mg 0.0000 0.0000 0.0000
Mn 0.2059 2.2569 1.3239
Mn 2.7642 3.1954 3.6735
Mn 2.8006 4.8636 1.2598
Mn 2.8679 1.6851 6.1783
Mn 5.2830 4.1016 6.0487
Mn 5.0168 0.4266 3.6106
O 0.9836 3.6745 0.3301
O 1.1116 2.0698 2.9727
O 1.9210 3.1706 5.3998
O 1.9317 4.8406 2.9831
O 1.6307 0.9306 0.4725
O 3.9223 5.5366 6.9079
O 3.6126 1.5908 4.3948
O 3.6197 3.2589 1.9372
O 4.4037 4.3484 4.3897
O 4.5279 2.6540 7.0122
O 4.2366 0.5510 1.8717
F 1.3093 5.9437 5.5136
```